Structure and theoretical X-ray diffraction stick pattern of MgCu2Sb4O12 (a structure optimized by DFT (PBE); Cu Kα).
Peak positions follow from Bragg's law for the DFT cell and can differ from measured ones.

Structure:
a = 4.8374 Å, b = 5.0508 Å, c = 9.3251 Å
α = 90.11°, β = 90.03°, γ = 90.34°
Space group P1 (No. 1)
Inequivalent atoms, fractional coordinates:
1 Mg 0.0000 0.0000 0.0000 (multiplicity 1)
2 Cu 0.5000 0.9931 0.0018 (multiplicity 1)
3 Cu 0.9963 0.4990 0.5007 (multiplicity 1)
4 Sb 0.4962 0.9976 0.6684 (multiplicity 1)
5 Sb 0.4970 0.0002 0.3332 (multiplicity 1)
6 Sb 0.9966 0.4975 0.8216 (multiplicity 1)
7 Sb 0.9973 0.4995 0.1802 (multiplicity 1)
8 O 0.1974 0.6638 0.0011 (multiplicity 1)
9 O 0.2242 0.6801 0.6731 (multiplicity 1)
10 O 0.2276 0.6819 0.3275 (multiplicity 1)
11 O 0.2567 0.1718 0.1682 (multiplicity 1)
12 O 0.2576 0.1709 0.8346 (multiplicity 1)
13 O 0.2942 0.1718 0.5009 (multiplicity 1)
14 O 0.6985 0.8257 0.5004 (multiplicity 1)
15 O 0.7372 0.8245 0.8338 (multiplicity 1)
16 O 0.7395 0.8280 0.1688 (multiplicity 1)
17 O 0.7671 0.3190 0.3282 (multiplicity 1)
18 O 0.7686 0.3137 0.6736 (multiplicity 1)
19 O 0.7967 0.3331 0.0014 (multiplicity 1)

Most intense lines, 2θ = 10–80°, sorted by position:
index, Position (°2θ), d/Å, I/Imax
1 -1 0, 25.42, 3.504, 1000
1 1 0, 25.57, 3.483, 982
0 1 -3, 33.86, 2.647, 761
1 0 -3, 34.29, 2.615, 755
0 2 0, 35.55, 2.525, 312
2 0 0, 37.17, 2.419, 211
1 -2 3, 50.14, 1.819, 301
2 -1 3, 51.07, 1.788, 382
2 1 -3, 51.24, 1.783, 395
2 -2 0, 52.22, 1.752, 209
2 2 0, 52.55, 1.741, 223
1 1 -6, 65.73, 1.421, 177